Entry 1:
For MgMn2O4, a DFT-relaxed cell (PBE+U, the Materials Project) gives the calculated powder XRD pattern in this record (a wavelength of 1.5418 Å).

Structural model:
a = 6.0458 Å, b = 6.0491 Å, c = 10.4478 Å
α = 90.91°, β = 105.82°, γ = 119.89°
Sites, in units of the cell vectors:
1 Mg 0.0000 0.0000 0.0000
2 Mg 0.0032 0.4976 0.5007
3 Mg 0.3815 0.4206 0.8127
4 Mg 0.3933 0.9295 0.3121
5 Mn 0.0004 0.5016 0.0006
6 Mn 0.0020 0.9989 0.5002
7 Mn 0.0059 0.2558 0.2506
8 Mn 0.4993 0.0021 0.0010
9 Mn 0.5007 0.4963 0.4998
10 Mn 0.6122 0.0686 0.6892
11 Mn 0.6186 0.5798 0.1890
12 Mn 0.9959 0.7443 0.7515
13 O 0.1985 0.8617 0.6225
14 O 0.2015 0.3695 0.1174
15 O 0.2254 0.5984 0.8847
16 O 0.2432 0.0807 0.8780
17 O 0.2431 0.8603 0.1061
18 O 0.2487 0.3603 0.6062
19 O 0.2545 0.5890 0.3810
20 O 0.2865 0.1557 0.3840
21 O 0.7166 0.8353 0.6158
22 O 0.7509 0.4120 0.6188
23 O 0.7581 0.1429 0.8974
24 O 0.7576 0.6362 0.3995
25 O 0.7588 0.9282 0.1218
26 O 0.7776 0.4005 0.1149
27 O 0.7904 0.6284 0.8818
28 O 0.7993 0.1326 0.3782

Most intense lines, 2θ = 10–80°, in order of rising 2θ:
2θ (°), I/Imax
18.09, 72
29.54, 41
34.49, 73
34.74, 100
42.43, 53
60.94, 43

---

Entry 2:
For KLaMgWO6, a DFT-relaxed cell (PBE+U, the Materials Project) gives the calculated powder XRD pattern in this record (a wavelength of 1.5418 Å).

Structural model:
a = 5.6518 Å, b = 5.6518 Å, c = 5.6518 Å
α = 60.00°, β = 60.00°, γ = 60.00°
Sites, in units of the cell vectors:
1 K 0.0000 0.0000 0.0000
2 La 0.5000 0.5000 0.5000
3 Mg 0.2500 0.2500 0.2500
4 W 0.7500 0.7500 0.7500
5 O 0.5071 0.5071 0.9929
6 O 0.5071 0.9929 0.5071
7 O 0.5071 0.9929 0.9929
8 O 0.9929 0.5071 0.5071
9 O 0.9929 0.5071 0.9929
10 O 0.9929 0.9929 0.5071

Most intense lines, 2θ = 10–80°, in order of rising 2θ:
2θ (°), I/Imax
19.23, 63
31.66, 100
37.31, 35
45.39, 34
56.39, 40
66.13, 20

---

Entry 3:
For Na3CoO3, a DFT-relaxed cell (PBE+U, the Materials Project) gives the calculated powder XRD pattern in this record (a wavelength of 1.5418 Å).

Structural model:
a = 6.0959 Å, b = 7.6793 Å, c = 10.8250 Å
α = 90.00°, β = 123.78°, γ = 90.00°
Sites, in units of the cell vectors:
1 Na 0.0402 0.1575 0.4327
2 Na 0.0402 0.3425 0.9327
3 Na 0.2062 0.5317 0.4605
4 Na 0.2062 0.9683 0.9605
5 Na 0.3903 0.2317 0.2738
6 Na 0.3903 0.2683 0.7738
7 Na 0.6097 0.7317 0.2262
8 Na 0.6097 0.7683 0.7262
9 Na 0.7938 0.0317 0.0395
10 Na 0.7938 0.4683 0.5395
11 Na 0.9598 0.6575 0.0673
12 Na 0.9598 0.8425 0.5673
13 Co 0.2825 0.6499 0.8539
14 Co 0.2825 0.8501 0.3539
15 Co 0.7175 0.1499 0.6461
16 Co 0.7175 0.3501 0.1461
17 O 0.0154 0.6355 0.8751
18 O 0.0154 0.8645 0.3751
19 O 0.2451 0.5810 0.6860
20 O 0.2451 0.9190 0.1860
21 O 0.4447 0.2234 0.0115
22 O 0.4447 0.2766 0.5115
23 O 0.5553 0.7234 0.4885
24 O 0.5553 0.7766 0.9885
25 O 0.7549 0.0810 0.8140
26 O 0.7549 0.4190 0.3140
27 O 0.9846 0.1355 0.6249
28 O 0.9846 0.3645 0.1249

Most intense lines, 2θ = 10–80°, in order of rising 2θ:
2θ (°), I/Imax
21.01, 65
25.22, 92
27.14, 67
33.19, 78
35.45, 100
36.49, 72

---

Entry 4:
For TaNb3V4O20, a DFT-relaxed cell (PBE+U, the Materials Project) gives the calculated powder XRD pattern in this record (a wavelength of 1.5418 Å).

Structural model:
a = 7.0698 Å, b = 5.6574 Å, c = 12.0739 Å
α = 90.00°, β = 90.07°, γ = 90.00°
Sites, in units of the cell vectors:
1 Ta 0.0000 0.0000 0.0000
2 Nb 0.3153 0.5000 0.1139
3 Nb 0.5028 0.5000 0.6147
4 Nb 0.8186 0.0000 0.5004
5 V 0.1288 0.5000 0.4018
6 V 0.1929 0.0000 0.7146
7 V 0.6292 0.0000 0.2132
8 V 0.6941 0.5000 0.9024
9 O 0.0007 0.2501 0.4329
10 O 0.0007 0.7499 0.4329
11 O 0.1357 0.0000 0.8562
12 O 0.1608 0.2493 0.0575
13 O 0.1608 0.7507 0.0575
14 O 0.1856 0.5000 0.2604
15 O 0.3214 0.2498 0.6831
16 O 0.3214 0.7502 0.6831
17 O 0.3387 0.5000 0.4800
18 O 0.4853 0.5000 0.9794
19 O 0.5010 0.2495 0.1827
20 O 0.5010 0.7505 0.1827
21 O 0.6373 0.5000 0.7614
22 O 0.6610 0.2502 0.5581
23 O 0.6610 0.7498 0.5581
24 O 0.6859 0.0000 0.3554
25 O 0.8230 0.2486 0.9337
26 O 0.8230 0.7514 0.9337
27 O 0.8393 0.0000 0.1345
28 O 0.9840 0.0000 0.6360

Most intense lines, 2θ = 10–80°, in order of rising 2θ:
2θ (°), I/Imax
14.67, 53
19.33, 74
20.10, 87
21.42, 100
24.98, 65
30.73, 53

---

Entry 5:
For Zr3NiO, a DFT-relaxed cell (PBE+U, the Materials Project) gives the calculated powder XRD pattern in this record (a wavelength of 1.5418 Å).

Structural model:
a = 5.7187 Å, b = 5.7187 Å, c = 8.8386 Å
α = 90.00°, β = 90.00°, γ = 145.97°
Sites, in units of the cell vectors:
1 Zr 0.0655 0.9345 0.7500
2 Zr 0.3650 0.6350 0.5596
3 Zr 0.3650 0.6350 0.9404
4 Zr 0.6350 0.3650 0.0596
5 Zr 0.6350 0.3650 0.4404
6 Zr 0.9345 0.0655 0.2500
7 Ni 0.2444 0.7556 0.2500
8 Ni 0.7556 0.2444 0.7500
9 O 0.0000 0.0000 0.0000
10 O 0.0000 0.0000 0.5000

Most intense lines, 2θ = 10–80°, in order of rising 2θ:
2θ (°), I/Imax
34.59, 100
36.44, 31
37.89, 54
38.73, 21
41.67, 27
64.91, 18